Diffraction record for PmSm2SiN4. The powder X-ray diffraction pattern is simulated, not measured: it uses DFT lattice parameters and positions (GGA-PBE) and Cu Kα, 1.54184 Å.
Neutral-atom scattering factors, no anomalous dispersion.

Crystal structure
a b c (Å): 3.444 11.624 11.912
angles (deg): 90.00 90.00 90.00
Space group Cmcm (No. 63)
Unique sites:
Pm1 0.000 0.092 0.250 x4
Sm1 0.000 0.368 0.043 x8
Si1 0.000 0.179 0.750 x4
N1 0.000 0.000 0.000 x4
N2 0.000 0.272 0.636 x8
N3 0.000 0.405 0.250 x4

Main lines, in order of rising 2θ (2θ = 10–90°):
d 3.279, rel. 83.8; d 2.978, rel. 34.5; d 2.906, rel. 44.0; d 2.888, rel. 100.0; d 2.516, rel. 46.1; d 2.363, rel. 50.5; d 1.932, rel. 35.2; d 1.748, rel. 29.6